No. 1
# In2PdBr3Cl
Simulated powder XRD pattern, CuKα. Input: a DFT-relaxed cell (PBE, OQMD).
No peak broadening, texture or thermal motion is included.

Structural model:
abc: 4.333 7.446 7.446
angles: 88.32 90.00 90.00
Element x y z (fractional)
1 In 0.000 0.242 0.758
2 In 0.000 0.758 0.242
3 Pd 0.500 0.249 0.249
4 Br 0.500 0.010 0.487
5 Br 0.500 0.479 0.479
6 Br 0.500 0.487 0.010
7 Cl 0.500 0.029 0.029

Largest 12 diffraction maxima, in order of rising 2θ, 10° ≤ 2θ ≤ 80°:
two_theta	I_rel
11.89	65
23.76	29
26.48	80
26.81	43
31.69	100
33.55	49
34.58	46
41.69	28
43.46	25
44.08	36
48.95	31
66.20	25


No. 2
# IrBr4Cl
Simulated powder XRD pattern, CuKα. Input: a DFT-relaxed cell (PBE, OQMD).
No peak broadening, texture or thermal motion is included.

Structural model:
abc: 6.598 6.789 9.055
angles: 107.65 91.11 116.71
Element x y z (fractional)
1 Ir 0.097 0.199 0.216
2 Ir 0.903 0.801 0.784
3 Br 0.071 0.816 0.549
4 Br 0.243 0.196 0.953
5 Br 0.308 0.998 0.255
6 Br 0.428 0.583 0.355
7 Br 0.572 0.417 0.645
8 Br 0.692 0.002 0.745
9 Br 0.757 0.804 0.047
10 Br 0.929 0.184 0.451
11 Cl 0.105 0.626 0.849
12 Cl 0.895 0.374 0.151

Largest 12 diffraction maxima, in order of rising 2θ, 10° ≤ 2θ ≤ 80°:
two_theta	I_rel
15.29	60
15.44	88
15.78	92
16.88	66
17.42	60
31.71	100
31.85	98
32.60	87
42.58	52
48.44	33
48.76	30
50.95	30


No. 3
# Ir2S2BrCl
Simulated powder XRD pattern, CuKα. Input: a DFT-relaxed cell (PBE, OQMD).
No peak broadening, texture or thermal motion is included.

Structural model:
abc: 3.586 4.642 8.556
angles: 90.00 90.00 90.00
Element x y z (fractional)
1 Ir 0.000 0.000 0.000
2 Ir 0.500 0.500 0.240
3 S 0.000 0.500 0.065
4 S 0.500 0.000 0.175
5 Br 0.500 0.000 0.786
6 Cl 0.000 0.500 0.434

Largest 12 diffraction maxima, in order of rising 2θ, 10° ≤ 2θ ≤ 80°:
two_theta	I_rel
10.34	100
21.78	54
26.96	9
28.37	13
32.58	45
33.26	23
38.80	16
40.41	12
45.07	20
51.54	24
53.66	10
57.26	9


No. 4
# Ir2Se2BrCl
Simulated powder XRD pattern, CuKα. Input: a DFT-relaxed cell (PBE, OQMD).
No peak broadening, texture or thermal motion is included.

Structural model:
abc: 3.701 4.927 8.319
angles: 90.00 90.00 90.00
Element x y z (fractional)
1 Ir 0.000 0.000 0.000
2 Ir 0.500 0.500 0.264
3 Se 0.000 0.500 0.069
4 Se 0.500 0.000 0.193
5 Br 0.000 0.500 0.477
6 Cl 0.500 0.000 0.805

Largest 12 diffraction maxima, in order of rising 2θ, 10° ≤ 2θ ≤ 80°:
two_theta	I_rel
10.63	100
20.95	39
26.36	12
32.10	8
32.38	47
36.47	20
38.09	10
40.66	9
44.79	24
49.24	8
49.55	28
62.80	8